# 1
# Sr2BBrN2
Simulated powder XRD pattern, copper Kα. Input: a DFT-relaxed cell (PBE, the Materials Project).

The 10 most intense peaks (2θ = 5–70°), in order of falling intensity:
- 28.21 deg, I 100
- 36.76 deg, I 38
- 43.63 deg, I 33
- 61.09 deg, I 17
- 52.77 deg, I 16
- 61.27 deg, I 10
- 9.94 deg, I 10
- 58.33 deg, I 10
- 40.56 deg, I 10
- 19.96 deg, I 9

Structure:
Lattice parameters (Å, degrees): 9.213 9.213 9.213 26.03 26.03 26.03
Fractional coordinates of all 6 atoms:
Sr 0.248 0.248 0.248
Sr 0.752 0.752 0.752
B 0.500 0.500 0.500
Br 0.000 0.000 0.000
N 0.449 0.449 0.449
N 0.551 0.551 0.551

# 2
# U3Sn7
Simulated powder XRD pattern, copper Kα. Input: a DFT-relaxed cell (PBE, the Materials Project).

The 10 most intense peaks (2θ = 5–70°), in order of falling intensity:
- 33.35 deg, I 100
- 38.66 deg, I 17
- 37.27 deg, I 17
- 40.13 deg, I 16
- 66.60 deg, I 14
- 68.63 deg, I 13
- 64.72 deg, I 13
- 56.94 deg, I 12
- 54.78 deg, I 12
- 55.92 deg, I 11

Structure:
Lattice parameters (Å, degrees): 12.272 12.272 4.658 90.00 90.00 158.90
Fractional coordinates of all 10 atoms:
U 0.000 0.000 0.000
U 0.192 0.808 0.000
U 0.808 0.192 0.000
Sn 0.099 0.901 0.500
Sn 0.294 0.706 0.500
Sn 0.403 0.597 0.000
Sn 0.500 0.500 0.500
Sn 0.597 0.403 0.000
Sn 0.706 0.294 0.500
Sn 0.901 0.099 0.500

# 3
# Cu9O13
Simulated powder XRD pattern, copper Kα. Input: a DFT-relaxed cell (PBE, the Materials Project).

The 10 most intense peaks (2θ = 5–70°), in order of falling intensity:
- 11.05 deg, I 100
- 35.75 deg, I 34
- 35.90 deg, I 31
- 41.77 deg, I 27
- 43.16 deg, I 24
- 36.53 deg, I 20
- 45.23 deg, I 20
- 18.26 deg, I 19
- 19.85 deg, I 17
- 63.04 deg, I 17

Structure:
Lattice parameters (Å, degrees): 5.135 5.135 16.220 98.61 98.61 33.33
Fractional coordinates of all 22 atoms:
Cu 0.000 0.000 0.000
Cu 0.147 0.147 0.542
Cu 0.249 0.249 0.918
Cu 0.439 0.439 0.624
Cu 0.494 0.494 0.830
Cu 0.506 0.506 0.170
Cu 0.561 0.561 0.376
Cu 0.751 0.751 0.082
Cu 0.853 0.853 0.458
O 0.068 0.068 0.638
O 0.107 0.107 0.111
O 0.117 0.117 0.823
O 0.199 0.199 0.432
O 0.365 0.365 0.026
O 0.383 0.383 0.726
O 0.500 0.500 0.500
O 0.617 0.617 0.274
O 0.635 0.635 0.974
O 0.801 0.801 0.568
O 0.883 0.883 0.177
O 0.893 0.893 0.889
O 0.932 0.932 0.362